Entry 1:
Starting from a crystal structure in the Materials Project, relaxed with GGA+U, the powder diffraction line list of LaV2IO9 was calculated for a wavelength of 1.5418 Å.
Neutral-atom scattering factors, no anomalous dispersion.

Structural model:
Lattice parameters (Å, degrees): 7.178 14.876 7.368 90.00 90.00 90.00
Element x y z (fractional)
La 0.152 0.050 0.250
La 0.152 0.450 0.750
La 0.848 0.550 0.250
La 0.848 0.950 0.750
V 0.182 0.729 0.750
V 0.182 0.771 0.250
V 0.468 0.250 0.000
V 0.468 0.250 0.500
V 0.532 0.750 0.000
V 0.532 0.750 0.500
V 0.818 0.229 0.750
V 0.818 0.271 0.250
I 0.298 0.057 0.750
I 0.298 0.443 0.250
I 0.702 0.557 0.750
I 0.702 0.943 0.250
O 0.013 0.693 0.250
O 0.013 0.807 0.750
O 0.087 0.626 0.750
O 0.087 0.874 0.250
O 0.174 0.506 0.071
O 0.174 0.506 0.429
O 0.174 0.994 0.571
O 0.174 0.994 0.929
O 0.260 0.750 0.000
O 0.260 0.750 0.500
O 0.335 0.158 0.043
O 0.335 0.158 0.457
O 0.335 0.342 0.543
O 0.335 0.342 0.957
O 0.467 0.722 0.750
O 0.467 0.778 0.250
O 0.477 0.502 0.750
O 0.477 0.998 0.250
O 0.523 0.002 0.750
O 0.523 0.498 0.250
O 0.533 0.222 0.750
O 0.533 0.278 0.250
O 0.665 0.658 0.043
O 0.665 0.658 0.457
O 0.665 0.842 0.543
O 0.665 0.842 0.957
O 0.740 0.250 0.000
O 0.740 0.250 0.500
O 0.826 0.006 0.071
O 0.826 0.006 0.429
O 0.826 0.494 0.571
O 0.826 0.494 0.929
O 0.913 0.126 0.750
O 0.913 0.374 0.250
O 0.987 0.193 0.250
O 0.987 0.307 0.750

Main lines, most intense first (2θ = 10–90°):
2θ = 21.8°, d = 4.080 Å, I = 1000, hkl 1 3 0
2θ = 32.8°, d = 2.734 Å, I = 604, hkl 1 3 2
2θ = 28.3°, d = 3.153 Å, I = 568, hkl 2 1 1
2θ = 24.2°, d = 3.684 Å, I = 443, hkl 0 0 2
2θ = 27.0°, d = 3.301 Å, I = 404, hkl 0 2 2
2θ = 45.1°, d = 2.009 Å, I = 333, hkl 2 1 3
2θ = 41.0°, d = 2.203 Å, I = 329, hkl 1 5 2
2θ = 46.8°, d = 1.941 Å, I = 328, hkl 3 4 1
2θ = 23.9°, d = 3.719 Å, I = 265, hkl 0 4 0
2θ = 11.9°, d = 7.438 Å, I = 264, hkl 0 2 0


Entry 2:
Starting from a crystal structure in the Materials Project, relaxed with GGA+U, the powder diffraction line list of Sm2MgMo2I8O30 was calculated for a wavelength of 1.5418 Å.
Neutral-atom scattering factors, no anomalous dispersion.

Structural model:
Lattice parameters (Å, degrees): 6.997 7.262 14.494 88.59 88.23 65.40
Element x y z (fractional)
Sm 0.000 0.000 0.000
Sm 0.209 0.099 0.497
Mg 0.748 0.462 0.557
Mo 0.493 0.355 0.163
Mo 0.666 0.825 0.685
I 0.238 0.612 0.634
I 0.316 0.445 0.897
I 0.330 0.866 0.244
I 0.569 0.307 0.397
I 0.608 0.817 0.920
I 0.826 0.303 0.763
I 0.870 0.692 0.401
I 0.936 0.507 0.122
O 0.028 0.162 0.844
O 0.062 0.428 0.420
O 0.124 0.959 0.160
O 0.125 0.709 0.899
O 0.182 0.964 0.352
O 0.185 0.801 0.539
O 0.298 0.496 0.079
O 0.328 0.385 0.565
O 0.329 0.394 0.773
O 0.338 0.605 0.263
O 0.356 0.225 0.220
O 0.365 0.933 0.986
O 0.458 0.986 0.615
O 0.484 0.878 0.802
O 0.517 0.587 0.652
O 0.519 0.078 0.415
O 0.563 0.478 0.903
O 0.637 0.646 0.441
O 0.655 0.550 0.144
O 0.685 0.030 0.917
O 0.695 0.171 0.097
O 0.712 0.251 0.287
O 0.794 0.223 0.477
O 0.809 0.960 0.718
O 0.828 0.710 0.279
O 0.842 0.554 0.774
O 0.858 0.752 0.062
O 0.859 0.664 0.596
O 0.960 0.251 0.645
O 0.992 0.337 0.024

Main lines, most intense first (2θ = 10–90°):
2θ = 23.9°, d = 3.720 Å, I = 1000, hkl -1 1 1
2θ = 22.9°, d = 3.883 Å, I = 828, hkl 1 0 3
2θ = 26.1°, d = 3.414 Å, I = 782, hkl 2 1 1
2θ = 24.7°, d = 3.607 Å, I = 718, hkl 1 2 0
2θ = 26.5°, d = 3.367 Å, I = 717, hkl 2 1 -1
2θ = 25.6°, d = 3.481 Å, I = 637, hkl 1 2 -1
2θ = 28.3°, d = 3.158 Å, I = 521, hkl 0 1 -4
2θ = 23.4°, d = 3.804 Å, I = 488, hkl 1 0 -3
2θ = 28.4°, d = 3.146 Å, I = 408, hkl 1 1 4
2θ = 25.3°, d = 3.522 Å, I = 381, hkl 1 2 1